# 1
Diffraction record for MnGaSiRhSe. The powder diffraction line list is theoretical, not measured: it uses a cell relaxed with GGA-PBE and copper Kα.
No peak broadening, texture or thermal motion is included.

Top 10 peaks for 2θ from 15° to 90°, most intense first:
d/Å	I (rel.)
1.971	100
2.294	92
3.759	68
2.224	44
3.042	40
1.959	36
2.205	23
1.470	23
1.171	20
2.029	17

Cell and atoms:
Cell: 13.9039 3.1242 3.9171 Å, 90.00 106.33 90.00°
Fractional positions:
1 Mn 0.0000 0.0000 0.0000
2 Mn 0.5000 0.5000 0.0000
3 Ga 0.0043 0.5000 0.5038
4 Ga 0.5043 0.0000 0.5038
5 Si 0.1488 0.5000 0.1474
6 Si 0.6488 0.0000 0.1474
7 Rh 0.1706 0.0000 0.6692
8 Rh 0.6706 0.5000 0.6692
9 Se 0.3586 0.0000 0.8563
10 Se 0.8586 0.5000 0.8563



# 2
Diffraction record for Rb2SrAsSe4. The powder diffraction line list is theoretical, not measured: it uses a cell relaxed with GGA-PBE and copper Kα.
No peak broadening, texture or thermal motion is included.

Top 10 peaks for 2θ from 15° to 90°, most intense first:
d/Å	I (rel.)
3.150	100
2.241	66
3.190	52
2.415	17
1.741	16
2.077	16
1.926	15
1.423	10
1.412	10
2.840	9

Cell and atoms:
Cell: 9.0161 9.0161 9.0161 Å, 125.13 115.21 89.92°
Fractional positions:
1 Rb 0.0000 0.0000 0.0000
2 Rb 0.5000 0.0000 0.0000
3 Rb 0.5000 0.0000 0.5000
4 Rb 0.5000 0.5000 0.5000
5 Sr 0.0000 0.5000 0.5000
6 Sr 0.5000 0.5000 0.0000
7 As 0.0000 0.0000 0.5000
8 As 0.0000 0.5000 0.0000
9 Se 0.1862 0.7432 0.4430
10 Se 0.1999 0.2568 0.9430
11 Se 0.2199 0.2436 0.5238
12 Se 0.2199 0.6961 0.9762
13 Se 0.7801 0.3039 0.0238
14 Se 0.7801 0.7564 0.4762
15 Se 0.8001 0.7432 0.0570
16 Se 0.8138 0.2568 0.5570



# 3
Diffraction record for In4Br5. The powder diffraction line list is theoretical, not measured: it uses a cell relaxed with GGA-PBE and copper Kα.
No peak broadening, texture or thermal motion is included.

Top 10 peaks for 2θ from 15° to 90°, most intense first:
d/Å	I (rel.)
2.891	100
3.027	84
3.653	75
2.742	53
2.338	50
1.939	47
5.287	44
3.635	44
2.687	35
2.485	30

Cell and atoms:
Cell: 3.8764 7.5318 11.4807 Å, 72.62 80.44 75.19°
Fractional positions:
1 In 0.1283 0.1630 0.0791
2 In 0.3027 0.5051 0.3874
3 In 0.6973 0.4949 0.6126
4 In 0.8717 0.8370 0.9209
5 Br 0.0384 0.7610 0.6667
6 Br 0.2633 0.2212 0.7546
7 Br 0.5000 0.5000 0.0000
8 Br 0.7367 0.7788 0.2454
9 Br 0.9616 0.2390 0.3333



# 4
Diffraction record for TbDy2TmTe5. The powder diffraction line list is theoretical, not measured: it uses a cell relaxed with GGA-PBE and copper Kα.
No peak broadening, texture or thermal motion is included.

Top 10 peaks for 2θ from 15° to 90°, most intense first:
d/Å	I (rel.)
2.745	100
3.882	91
2.730	53
2.551	50
1.869	40
3.147	37
1.941	37
1.987	23
5.761	23
2.069	23

Cell and atoms:
Cell: 5.4897 5.4897 11.5224 Å, 90.00 90.00 90.00°
Fractional positions:
1 Tb 0.0000 0.0000 0.0000
2 Dy 0.5000 0.5000 0.3485
3 Dy 0.5000 0.5000 0.6515
4 Tm 0.0000 0.0000 0.5000
5 Te 0.0000 0.0000 0.2477
6 Te 0.0000 0.0000 0.7523
7 Te 0.0000 0.5000 0.5000
8 Te 0.5000 0.0000 0.5000
9 Te 0.5000 0.5000 0.0000



# 5
Diffraction record for Ba2PuPaO6. The powder diffraction line list is theoretical, not measured: it uses a cell relaxed with GGA-PBE and copper Kα.
No peak broadening, texture or thermal motion is included.

Top 10 peaks for 2θ from 15° to 90°, most intense first:
d/Å	I (rel.)
3.164	100
1.827	42
2.235	19
1.582	18
1.195	15
4.474	13
1.414	13
2.242	9
1.197	6
1.292	6

Cell and atoms:
Cell: 4.4697 4.4697 8.9666 Å, 90.00 90.00 90.00°
Fractional positions:
1 Ba 0.0000 0.0000 0.2317
2 Ba 0.0000 0.0000 0.7683
3 Pu 0.5000 0.5000 0.0000
4 Pa 0.5000 0.5000 0.5000
5 O 0.0000 0.5000 0.0000
6 O 0.0000 0.5000 0.5000
7 O 0.5000 0.0000 0.0000
8 O 0.5000 0.0000 0.5000
9 O 0.5000 0.5000 0.2602
10 O 0.5000 0.5000 0.7398



# 6
Diffraction record for Be7Nb3Co2. The powder diffraction line list is theoretical, not measured: it uses a cell relaxed with GGA-PBE and copper Kα.
No peak broadening, texture or thermal motion is included.

Top 10 peaks for 2θ from 15° to 90°, most intense first:
d/Å	I (rel.)
2.306	100
1.937	89
3.570	63
3.926	46
2.429	36
3.201	25
1.214	21
1.247	20
1.331	16
2.224	16

Cell and atoms:
Cell: 7.6196 7.6196 7.6196 Å, 35.23 35.23 35.23°
Fractional positions:
1 Be 0.0000 0.0000 0.0000
2 Be 0.0845 0.0845 0.5803
3 Be 0.0845 0.5803 0.0845
4 Be 0.4197 0.9155 0.9155
5 Be 0.5803 0.0845 0.0845
6 Be 0.9155 0.4197 0.9155
7 Be 0.9155 0.9155 0.4197
8 Nb 0.3574 0.3574 0.3574
9 Nb 0.5000 0.5000 0.5000
10 Nb 0.6426 0.6426 0.6426
11 Co 0.1662 0.1662 0.1662
12 Co 0.8338 0.8338 0.8338